Structure and calculated PXRD pattern of LaY2Sc (a PBE-relaxed structure; Cu Kα, 1.54184 Å).
Peak positions follow from Bragg's law for the DFT cell and can differ from measured ones.

Structural model:
abc: 3.7863 5.7416 11.6231
angles: 90.00 90.00 90.00
Space group Cmmm (No. 65)
Symmetry-distinct sites (fractional):
La: 0.0000 0.0000 0.0000
Y: 0.0000 0.5000 0.2708
Sc: 0.0000 0.0000 0.5000

The 8 most intense peaks (2θ from 10° to 80°), sorted by position:
2θ = 22.95°, 3.874 Å, I = 12, (0 0 3); 2θ = 29.28°, 3.050 Å, I = 13, (1 1 1); 2θ = 30.77°, 2.906 Å, I = 26, (0 0 4); 2θ = 31.15°, 2.871 Å, I = 28, (0 2 0); 2θ = 32.24°, 2.777 Å, I = 100, (1 1 2); 2θ = 44.36°, 2.042 Å, I = 18, (0 2 4); 2θ = 55.65°, 1.652 Å, I = 15, (1 1 6); 2θ = 56.12°, 1.639 Å, I = 20, (1 3 2)